(1)
Calculated X-ray diffraction stick pattern
Compound: Li2SbI4
Radiation: a wavelength of 1.5418 Å
Structure: the GGA-PBE geometry in Alexandria

Crystal structure
```
data_Li2SbI4
_cell_length_a 7.481
_cell_length_b 7.481
_cell_length_c 9.168
_cell_angle_alpha 90.00
_cell_angle_beta 90.00
_cell_angle_gamma 90.00
_symmetry_space_group_name_H-M 'I -4 2 m'
_symmetry_Int_Tables_number 121
_symmetry_space_group_name_Hall 'I -4 2'
loop_
_atom_site_label
_atom_site_fract_x
_atom_site_fract_y
_atom_site_fract_z
Li1 0.000 0.500 0.250
Sb1 0.000 0.000 0.000
I1 0.230 0.230 0.619
```

The 6 most intense peaks (2θ from 10° to 90°), most intense first:
- 2θ = 25.72°, rel. 100
- 2θ = 43.03°, rel. 45
- 2θ = 33.89°, rel. 34
- 2θ = 23.79°, rel. 29
- 2θ = 46.46°, rel. 28
- 2θ = 28.40°, rel. 20

***

(2)
Calculated X-ray diffraction stick pattern
Compound: Li2SbI5
Radiation: a wavelength of 1.5418 Å
Structure: the GGA-PBE geometry in Alexandria

Crystal structure
```
data_Li2SbI5
_cell_length_a 13.900
_cell_length_b 6.165
_cell_length_c 9.545
_cell_angle_alpha 90.00
_cell_angle_beta 133.07
_cell_angle_gamma 90.00
_symmetry_space_group_name_H-M 'C 1 2 1'
_symmetry_Int_Tables_number 5
loop_
_symmetry_equiv_pos_as_xyz
'x,y,z'
'-x,y,-z'
'x+1/2,y+1/2,z'
'-x+1/2,y+1/2,-z'
loop_
_atom_site_label
_atom_site_fract_x
_atom_site_fract_y
_atom_site_fract_z
Li1 0.187 0.000 0.307
Sb1 0.000 0.013 0.500
I1 0.000 0.488 0.500
I2 0.079 0.996 0.882
I3 0.214 0.501 0.311
```

The 6 most intense peaks (2θ from 10° to 90°), most intense first:
- 2θ = 24.52°, rel. 100
- 2θ = 25.21°, rel. 99
- 2θ = 28.02°, rel. 79
- 2θ = 29.38°, rel. 79
- 2θ = 28.97°, rel. 79
- 2θ = 41.73°, rel. 61

***

(3)
Calculated X-ray diffraction stick pattern
Compound: LiSeI3
Radiation: a wavelength of 1.5418 Å
Structure: the GGA-PBE geometry in Alexandria

Crystal structure
```
data_LiSeI3
_cell_length_a 7.808
_cell_length_b 7.819
_cell_length_c 16.447
_cell_angle_alpha 97.21
_cell_angle_beta 103.43
_cell_angle_gamma 90.03
_symmetry_space_group_name_H-M 'P -1'
_symmetry_Int_Tables_number 2
loop_
_symmetry_equiv_pos_as_xyz
'x,y,z'
'-x,-y,-z'
loop_
_atom_site_label
_atom_site_fract_x
_atom_site_fract_y
_atom_site_fract_z
Li1 0.102 0.380 0.230
Li2 0.386 0.619 0.770
Se1 0.162 0.150 0.811
Se2 0.383 0.875 0.281
I1 0.103 0.394 0.691
I2 0.191 0.826 0.870
I3 0.231 0.346 0.952
I4 0.322 0.568 0.159
I5 0.409 0.234 0.332
I6 0.454 0.762 0.423
```

The 6 most intense peaks (2θ from 10° to 90°), most intense first:
- 2θ = 22.78°, rel. 100
- 2θ = 14.10°, rel. 33
- 2θ = 20.37°, rel. 32
- 2θ = 26.11°, rel. 31
- 2θ = 26.65°, rel. 27
- 2θ = 26.55°, rel. 26

***

(4)
Calculated X-ray diffraction stick pattern
Compound: LiSeI
Radiation: a wavelength of 1.5418 Å
Structure: the GGA-PBE geometry in Alexandria

Crystal structure
```
data_LiSeI
_cell_length_a 3.319
_cell_length_b 7.734
_cell_length_c 8.141
_cell_angle_alpha 68.96
_cell_angle_beta 89.97
_cell_angle_gamma 89.14
_symmetry_space_group_name_H-M 'P -1'
_symmetry_Int_Tables_number 2
loop_
_symmetry_equiv_pos_as_xyz
'x,y,z'
'-x,-y,-z'
loop_
_atom_site_label
_atom_site_fract_x
_atom_site_fract_y
_atom_site_fract_z
Li1 0.002 0.451 0.298
Se1 0.495 0.649 0.897
I1 0.011 0.210 0.653
```

The 6 most intense peaks (2θ from 10° to 90°), most intense first:
- 2θ = 22.19°, rel. 100
- 2θ = 30.29°, rel. 56
- 2θ = 23.18°, rel. 47
- 2θ = 19.77°, rel. 44
- 2θ = 24.67°, rel. 34
- 2θ = 30.08°, rel. 33

***

(5)
Calculated X-ray diffraction stick pattern
Compound: LiSmI4
Radiation: a wavelength of 1.5418 Å
Structure: the GGA-PBE geometry in Alexandria

Crystal structure
```
data_LiSmI4
_cell_length_a 17.204
_cell_length_b 4.425
_cell_length_c 7.611
_cell_angle_alpha 90.00
_cell_angle_beta 115.50
_cell_angle_gamma 90.00
_symmetry_space_group_name_H-M 'C 1 2/m 1'
_symmetry_Int_Tables_number 12
loop_
_symmetry_equiv_pos_as_xyz
'x,y,z'
'-x,-y,-z'
'-x,y,-z'
'x,-y,z'
'x+1/2,y+1/2,z'
'-x+1/2,-y+1/2,-z'
'-x+1/2,y+1/2,-z'
'x+1/2,-y+1/2,z'
loop_
_atom_site_label
_atom_site_fract_x
_atom_site_fract_y
_atom_site_fract_z
Li1 0.000 0.000 0.000
Sm1 0.000 0.500 0.500
I1 0.106 0.500 0.941
I2 0.118 0.000 0.454
```

The 6 most intense peaks (2θ from 10° to 90°), most intense first:
- 2θ = 26.04°, rel. 100
- 2θ = 25.92°, rel. 87
- 2θ = 11.40°, rel. 65
- 2θ = 32.98°, rel. 52
- 2θ = 41.01°, rel. 44
- 2θ = 42.02°, rel. 40

***

(6)
Calculated X-ray diffraction stick pattern
Compound: LiSmTl2I6
Radiation: a wavelength of 1.5418 Å
Structure: the GGA-PBE geometry in Alexandria

Crystal structure
```
data_LiSmTl2I6
_cell_length_a 8.069
_cell_length_b 8.568
_cell_length_c 14.088
_cell_angle_alpha 90.00
_cell_angle_beta 124.13
_cell_angle_gamma 90.00
_symmetry_space_group_name_H-M 'P 1 21/c 1'
_symmetry_Int_Tables_number 14
loop_
_symmetry_equiv_pos_as_xyz
'x,y,z'
'-x,-y,-z'
'-x,y+1/2,-z+1/2'
'x,-y+1/2,z+1/2'
loop_
_atom_site_label
_atom_site_fract_x
_atom_site_fract_y
_atom_site_fract_z
Li1 0.000 0.000 0.000
Sm1 0.500 0.000 0.500
Tl1 0.209 0.091 0.743
I1 0.136 0.196 0.448
I2 0.256 0.695 0.447
I3 0.356 0.020 0.245
```

The 6 most intense peaks (2θ from 10° to 90°), most intense first:
- 2θ = 25.52°, rel. 100
- 2θ = 25.81°, rel. 54
- 2θ = 30.66°, rel. 46
- 2θ = 30.44°, rel. 44
- 2θ = 34.18°, rel. 40
- 2θ = 31.07°, rel. 33

***

(7)
Calculated X-ray diffraction stick pattern
Compound: Li3Sn2I7
Radiation: a wavelength of 1.5418 Å
Structure: the GGA-PBE geometry in Alexandria

Crystal structure
```
data_Li3Sn2I7
_cell_length_a 28.982
_cell_length_b 8.009
_cell_length_c 8.030
_cell_angle_alpha 90.00
_cell_angle_beta 90.00
_cell_angle_gamma 90.00
_symmetry_space_group_name_H-M 'C m c 21'
_symmetry_Int_Tables_number 36
loop_
_symmetry_equiv_pos_as_xyz
'x,y,z'
'-x,-y,z+1/2'
'-x,y,z'
'x,-y,z+1/2'
'x+1/2,y+1/2,z'
'-x+1/2,-y+1/2,z+1/2'
'-x+1/2,y+1/2,z'
'x+1/2,-y+1/2,z+1/2'
loop_
_atom_site_label
_atom_site_fract_x
_atom_site_fract_y
_atom_site_fract_z
Li1 0.000 0.202 0.000
Li2 0.165 0.332 0.930
Sn1 0.105 0.233 0.504
I1 0.000 0.106 0.338
I2 0.072 0.400 0.858
I3 0.150 0.086 0.180
I4 0.198 0.387 0.596
```

The 6 most intense peaks (2θ from 10° to 90°), most intense first:
- 2θ = 24.20°, rel. 100
- 2θ = 24.85°, rel. 91
- 2θ = 38.77°, rel. 74
- 2θ = 22.99°, rel. 71
- 2θ = 29.27°, rel. 54
- 2θ = 25.61°, rel. 53

***

(8)
Calculated X-ray diffraction stick pattern
Compound: LiTeI4
Radiation: a wavelength of 1.5418 Å
Structure: the GGA-PBE geometry in Alexandria

Crystal structure
```
data_LiTeI4
_cell_length_a 6.182
_cell_length_b 6.182
_cell_length_c 12.359
_cell_angle_alpha 90.00
_cell_angle_beta 90.00
_cell_angle_gamma 90.00
_symmetry_space_group_name_H-M 'I -4 m 2'
_symmetry_Int_Tables_number 119
_symmetry_space_group_name_Hall 'I -4 -2'
loop_
_atom_site_label
_atom_site_fract_x
_atom_site_fract_y
_atom_site_fract_z
Li1 0.000 0.000 0.000
Te1 0.000 0.500 0.250
I1 0.000 0.000 0.240
I2 0.000 0.500 0.012
```

The 6 most intense peaks (2θ from 10° to 90°), most intense first:
- 2θ = 28.89°, rel. 100
- 2θ = 41.31°, rel. 74
- 2θ = 24.95°, rel. 67
- 2θ = 67.81°, rel. 32
- 2θ = 48.87°, rel. 30
- 2θ = 16.03°, rel. 29